# MgIn2Cl8
Simulated powder X-ray diffraction pattern, λ = 1.5418 Å (Cu Kα). Input: DFT lattice parameters and positions (PBE).

Peak list (10 most intense, 15 to 90 degrees two-theta, low angle first)
- 17.74°, I 52.1
- 18.51°, I 100.0
- 18.72°, I 36.0
- 23.71°, I 49.3
- 24.29°, I 45.9
- 24.85°, I 36.1
- 28.75°, I 52.1
- 28.95°, I 32.9
- 41.26°, I 37.4
- 45.62°, I 48.8

Cell lengths 9.855, 9.855, 12.496 Å; angles 125.72, 125.72, 52.76 degrees
Element x y z (fractional)
Mg  0.005  0.995  0.750
Mg  0.995  0.005  0.250
In  0.178  0.673  0.471
In  0.327  0.822  0.029
In  0.673  0.178  0.971
In  0.822  0.327  0.529
Cl  0.120  0.179  0.510
Cl  0.120  0.714  0.795
Cl  0.126  0.700  0.269
Cl  0.179  0.120  0.010
Cl  0.286  0.880  0.705
Cl  0.300  0.874  0.231
Cl  0.356  0.367  0.452
Cl  0.367  0.356  0.952
Cl  0.633  0.644  0.048
Cl  0.644  0.633  0.548
Cl  0.700  0.126  0.769
Cl  0.714  0.120  0.295
Cl  0.821  0.880  0.990
Cl  0.874  0.300  0.731
Cl  0.880  0.286  0.205
Cl  0.880  0.821  0.490

---

# NaMg2In2Cl7
Simulated powder X-ray diffraction pattern, λ = 1.5418 Å (Cu Kα). Input: DFT lattice parameters and positions (PBE).

Peak list (10 most intense, 15 to 90 degrees two-theta, low angle first)
- 20.26°, I 32.0
- 20.77°, I 40.1
- 24.37°, I 33.3
- 25.12°, I 48.3
- 25.24°, I 33.3
- 32.00°, I 34.1
- 32.76°, I 68.6
- 33.34°, I 29.3
- 34.59°, I 31.0
- 35.92°, I 100.0

Cell lengths 5.003, 5.003, 13.314 Å; angles 99.25, 99.25, 89.71 degrees
Element x y z (fractional)
Na  0.000  0.000  0.000
Mg  0.418  0.418  0.807
Mg  0.582  0.582  0.193
In  0.204  0.204  0.364
In  0.796  0.796  0.636
Cl  0.075  0.568  0.184
Cl  0.352  0.352  0.616
Cl  0.432  0.925  0.816
Cl  0.500  0.500  0.000
Cl  0.568  0.075  0.184
Cl  0.648  0.648  0.384
Cl  0.925  0.432  0.816

---

# RbMgIn2Cl5
Simulated powder X-ray diffraction pattern, λ = 1.5418 Å (Cu Kα). Input: DFT lattice parameters and positions (PBE).

Peak list (10 most intense, 15 to 90 degrees two-theta, low angle first)
- 21.21°, I 41.5
- 21.58°, I 20.0
- 23.90°, I 20.0
- 24.59°, I 100.0
- 30.63°, I 55.9
- 33.70°, I 43.8
- 34.65°, I 55.0
- 36.35°, I 33.1
- 42.48°, I 51.1
- 50.41°, I 25.6

Cell lengths 8.815, 8.815, 8.815 Å; angles 147.43, 130.03, 60.92 degrees
Element x y z (fractional)
Rb  0.000  0.000  0.000
Mg  0.500  0.500  0.000
In  0.296  0.796  0.500
In  0.704  0.204  0.500
Cl  0.143  0.381  0.762
Cl  0.381  0.619  0.762
Cl  0.500  0.000  0.500
Cl  0.619  0.381  0.238
Cl  0.857  0.619  0.238

---

# RbMg2In2Cl7
Simulated powder X-ray diffraction pattern, λ = 1.5418 Å (Cu Kα). Input: DFT lattice parameters and positions (PBE).

Peak list (10 most intense, 15 to 90 degrees two-theta, low angle first)
- 18.01°, I 26.8
- 24.02°, I 51.9
- 24.90°, I 68.4
- 25.01°, I 40.6
- 31.49°, I 35.6
- 32.43°, I 70.4
- 33.15°, I 29.6
- 34.18°, I 39.2
- 35.57°, I 100.0
- 51.09°, I 30.2

Cell lengths 5.051, 5.051, 13.435 Å; angles 98.84, 98.84, 89.65 degrees
Element x y z (fractional)
Rb  0.000  0.000  0.000
Mg  0.418  0.418  0.804
Mg  0.582  0.582  0.196
In  0.208  0.208  0.367
In  0.792  0.792  0.633
Cl  0.076  0.574  0.191
Cl  0.358  0.358  0.616
Cl  0.426  0.924  0.809
Cl  0.500  0.500  0.000
Cl  0.574  0.076  0.191
Cl  0.642  0.642  0.384
Cl  0.924  0.426  0.809

---

# Mn4InCl8
Simulated powder X-ray diffraction pattern, λ = 1.5418 Å (Cu Kα). Input: DFT lattice parameters and positions (PBE).

Peak list (10 most intense, 15 to 90 degrees two-theta, low angle first)
- 15.85°, I 22.0
- 20.71°, I 11.4
- 26.80°, I 11.9
- 32.02°, I 100.0
- 39.22°, I 18.0
- 42.16°, I 32.8
- 49.45°, I 29.9
- 52.05°, I 9.4
- 60.14°, I 13.8
- 81.49°, I 11.1

Cell lengths 8.813, 8.813, 8.813 Å; angles 49.45, 49.45, 49.45 degrees
Element x y z (fractional)
Mn  0.000  0.000  0.000
Mn  0.000  0.500  0.500
Mn  0.500  0.000  0.500
Mn  0.500  0.500  0.000
In  0.500  0.500  0.500
Cl  0.228  0.228  0.730
Cl  0.228  0.730  0.228
Cl  0.270  0.772  0.772
Cl  0.273  0.273  0.273
Cl  0.727  0.727  0.727
Cl  0.730  0.228  0.228
Cl  0.772  0.270  0.772
Cl  0.772  0.772  0.270

---

# MnIn6Cl12
Simulated powder X-ray diffraction pattern, λ = 1.5418 Å (Cu Kα). Input: DFT lattice parameters and positions (PBE).

Peak list (10 most intense, 15 to 90 degrees two-theta, low angle first)
- 17.57°, I 63.0
- 20.31°, I 32.9
- 24.95°, I 99.5
- 28.91°, I 73.3
- 32.37°, I 100.0
- 35.60°, I 74.9
- 37.12°, I 35.1
- 41.26°, I 38.2
- 48.97°, I 47.9
- 50.03°, I 33.7

Cell lengths 10.354, 10.354, 10.354 Å; angles 115.42, 115.42, 115.42 degrees
Element x y z (fractional)
Mn  0.000  0.000  0.000
In  0.069  0.295  0.295
In  0.295  0.069  0.295
In  0.295  0.295  0.069
In  0.705  0.705  0.931
In  0.705  0.931  0.705
In  0.931  0.705  0.705
Cl  0.001  0.215  0.784
Cl  0.215  0.784  0.001
Cl  0.216  0.999  0.785
Cl  0.292  0.639  0.637
Cl  0.361  0.363  0.708
Cl  0.363  0.708  0.361
Cl  0.637  0.292  0.639
Cl  0.639  0.637  0.292
Cl  0.708  0.361  0.363
Cl  0.784  0.001  0.215
Cl  0.785  0.216  0.999
Cl  0.999  0.785  0.216

---

# NaMnInCl4
Simulated powder X-ray diffraction pattern, λ = 1.5418 Å (Cu Kα). Input: DFT lattice parameters and positions (PBE).

Peak list (10 most intense, 15 to 90 degrees two-theta, low angle first)
- 19.02°, I 63.4
- 19.41°, I 40.0
- 22.98°, I 53.0
- 24.52°, I 65.8
- 27.95°, I 44.3
- 31.31°, I 69.7
- 31.88°, I 100.0
- 33.26°, I 33.2
- 36.49°, I 46.9
- 42.65°, I 31.8

Cell lengths 6.989, 7.262, 8.481 Å; angles 90.00, 106.48, 90.00 degrees
Element x y z (fractional)
Na  0.209  0.250  0.055
Na  0.791  0.750  0.945
Mn  0.250  0.750  0.826
Mn  0.750  0.250  0.174
In  0.246  0.250  0.570
In  0.754  0.750  0.430
Cl  0.022  0.502  0.783
Cl  0.022  0.998  0.783
Cl  0.455  0.750  0.651
Cl  0.469  0.750  0.092
Cl  0.531  0.250  0.908
Cl  0.545  0.250  0.349
Cl  0.978  0.002  0.217
Cl  0.978  0.498  0.217

---

# NaMn2In3Cl9
Simulated powder X-ray diffraction pattern, λ = 1.5418 Å (Cu Kα). Input: DFT lattice parameters and positions (PBE).

Peak list (10 most intense, 15 to 90 degrees two-theta, low angle first)
- 17.51°, I 15.0
- 24.80°, I 59.1
- 24.92°, I 58.4
- 30.42°, I 19.7
- 30.62°, I 69.2
- 35.45°, I 100.0
- 43.84°, I 39.8
- 50.87°, I 27.6
- 51.14°, I 33.5
- 63.76°, I 15.5

Cell lengths 7.145, 7.145, 8.816 Å; angles 90.00, 90.00, 120.00 degrees
Element x y z (fractional)
Na  0.000  0.000  0.000
Mn  0.333  0.667  0.662
Mn  0.667  0.333  0.338
In  0.000  0.000  0.500
In  0.333  0.667  0.135
In  0.667  0.333  0.865
Cl  0.000  0.500  0.500
Cl  0.175  0.349  0.817
Cl  0.175  0.825  0.817
Cl  0.349  0.175  0.183
Cl  0.500  0.000  0.500
Cl  0.500  0.500  0.500
Cl  0.651  0.825  0.817
Cl  0.825  0.175  0.183
Cl  0.825  0.651  0.183

---

# MnIn2SnCl6
Simulated powder X-ray diffraction pattern, λ = 1.5418 Å (Cu Kα). Input: DFT lattice parameters and positions (PBE).

Peak list (10 most intense, 15 to 90 degrees two-theta, low angle first)
- 15.03°, I 23.3
- 23.50°, I 100.0
- 24.28°, I 83.7
- 28.01°, I 50.1
- 29.05°, I 22.5
- 34.05°, I 99.1
- 38.17°, I 22.3
- 41.32°, I 41.5
- 41.79°, I 48.7
- 48.08°, I 28.7

Cell lengths 7.334, 7.338, 7.345 Å; angles 62.08, 62.13, 62.06 degrees
Element x y z (fractional)
Mn  0.000  0.000  0.000
In  0.227  0.227  0.226
In  0.773  0.773  0.774
Sn  0.500  0.500  0.500
Cl  0.161  0.780  0.309
Cl  0.221  0.692  0.838
Cl  0.308  0.162  0.782
Cl  0.692  0.838  0.218
Cl  0.779  0.308  0.162
Cl  0.839  0.220  0.691

---

# Mn2InSnCl6
Simulated powder X-ray diffraction pattern, λ = 1.5418 Å (Cu Kα). Input: DFT lattice parameters and positions (PBE).

Peak list (10 most intense, 15 to 90 degrees two-theta, low angle first)
- 16.03°, I 59.8
- 22.26°, I 90.4
- 25.14°, I 63.5
- 25.62°, I 48.7
- 26.74°, I 49.7
- 30.62°, I 100.0
- 31.73°, I 81.4
- 32.39°, I 59.0
- 32.99°, I 57.7
- 48.38°, I 46.9

Cell lengths 6.811, 7.046, 7.150 Å; angles 102.56, 110.13, 114.17 degrees
Element x y z (fractional)
Mn  0.000  0.000  0.000
Mn  0.196  0.684  0.538
In  0.646  0.991  0.251
Sn  0.715  0.503  0.819
Cl  0.095  0.400  0.188
Cl  0.176  0.951  0.324
Cl  0.284  0.006  0.871
Cl  0.294  0.480  0.757
Cl  0.668  0.933  0.682
Cl  0.752  0.477  0.444

---

# InMo4Cl7
Simulated powder X-ray diffraction pattern, λ = 1.5418 Å (Cu Kα). Input: DFT lattice parameters and positions (PBE).

Peak list (10 most intense, 15 to 90 degrees two-theta, low angle first)
- 15.29°, I 90.9
- 15.42°, I 42.3
- 28.99°, I 51.1
- 29.25°, I 82.0
- 30.51°, I 40.3
- 37.20°, I 100.0
- 41.30°, I 42.3
- 42.50°, I 38.9
- 43.91°, I 47.6
- 47.43°, I 66.8

Cell lengths 3.329, 22.989, 8.862 Å; angles 90.00, 90.04, 90.00 degrees
Element x y z (fractional)
In  0.000  0.000  0.000
In  0.466  0.500  0.548
Mo  0.468  0.256  0.142
Mo  0.468  0.744  0.142
Mo  0.469  0.167  0.325
Mo  0.469  0.833  0.325
Mo  0.968  0.333  0.223
Mo  0.968  0.667  0.223
Mo  0.969  0.244  0.406
Mo  0.969  0.756  0.406
Cl  0.468  0.150  0.058
Cl  0.468  0.412  0.158
Cl  0.468  0.588  0.158
Cl  0.468  0.850  0.058
Cl  0.469  0.204  0.600
Cl  0.469  0.796  0.600
Cl  0.500  0.000  0.769
Cl  0.966  0.500  0.779
Cl  0.968  0.297  0.948
Cl  0.968  0.703  0.948
Cl  0.969  0.088  0.390
Cl  0.969  0.350  0.490
Cl  0.969  0.650  0.490
Cl  0.969  0.912  0.390

---

# InN2Cl4
Simulated powder X-ray diffraction pattern, λ = 1.5418 Å (Cu Kα). Input: DFT lattice parameters and positions (PBE).

Peak list (10 most intense, 15 to 90 degrees two-theta, low angle first)
- 15.80°, I 96.4
- 16.63°, I 100.0
- 22.01°, I 44.8
- 24.55°, I 30.1
- 30.95°, I 83.7
- 31.29°, I 82.7
- 33.28°, I 34.7
- 34.86°, I 60.8
- 38.60°, I 35.2
- 48.07°, I 40.2

Cell lengths 3.652, 7.649, 8.235 Å; angles 84.64, 79.18, 76.23 degrees
Element x y z (fractional)
In  0.000  0.000  0.000
N  0.044  0.521  0.434
N  0.956  0.479  0.566
Cl  0.170  0.917  0.703
Cl  0.410  0.236  0.936
Cl  0.590  0.764  0.064
Cl  0.830  0.083  0.297